Diffraction record for BaHoCo2O6. The X-ray powder pattern is computed, not measured: it uses a DFT-relaxed cell (PBE+U, Alexandria) and Cu Kα X-rays.
No peak broadening, texture or thermal motion is included.

Cell and atoms:
a = 3.819 Å, b = 3.819 Å, c = 7.865 Å
α = 90.00°, β = 90.00°, γ = 90.00°
Element x y z (fractional)
Ba: 0.000 0.000 0.000
Ho: 0.000 0.000 0.500
Co: 0.500 0.500 0.255
Co: 0.500 0.500 0.745
O: 0.000 0.500 0.287
O: 0.000 0.500 0.713
O: 0.500 0.000 0.287
O: 0.500 0.000 0.713
O: 0.500 0.500 0.000
O: 0.500 0.500 0.500

Top 12 peaks for 2θ from 10° to 90°, by angle:
hkl 1 0 0, 2θ = 23.29°, intensity 14
hkl 1 0 2, 2θ = 32.68°, intensity 100
hkl 1 1 0, 2θ = 33.17°, intensity 48
hkl 1 1 2, 2θ = 40.52°, intensity 25
hkl 0 0 4, 2θ = 46.17°, intensity 15
hkl 2 0 0, 2θ = 47.62°, intensity 30
hkl 1 1 4, 2θ = 58.02°, intensity 22
hkl 2 1 2, 2θ = 58.95°, intensity 37
hkl 2 0 4, 2θ = 68.49°, intensity 17
hkl 2 2 0, 2θ = 69.63°, intensity 9
hkl 1 0 6, 2θ = 76.89°, intensity 8
hkl 2 2 4, 2θ = 87.67°, intensity 9